Record 1
For TaFeTc, a DFT-relaxed cell (PBE, Alexandria) gives the theoretical X-ray diffraction stick pattern in this record (Cu Kα, 1.54184 Å).
Kinematic intensities with the Lorentz-polarization factor, no thermal factor.

Cell and atoms:
```
TaFeTc
1.0
3.1510 0.0000 0.0000
0.0000 3.1510 0.0000
0.0000 0.0000 9.0352
Ta Fe Tc
2 2 2
Direct
0.0000 0.0000 0.0000
0.5000 0.5000 0.5000
0.0000 0.0000 0.3301
0.5000 0.5000 0.8301
0.0000 0.0000 0.6681
0.5000 0.5000 0.1681
```

Largest 8 diffraction maxima, by angle, 2θ from 10° to 90°:
d [Å]	I_rel	h k l
4.518	15	0 0 2
2.975	23	1 0 1
2.228	54	1 1 0
2.177	100	1 0 3
1.576	18	2 0 0
1.506	8	0 0 6
1.276	35	2 1 3
1.248	16	1 1 6

---

Record 2
For Ta4FeTc3, a DFT-relaxed cell (PBE, Alexandria) gives the theoretical X-ray diffraction stick pattern in this record (Cu Kα, 1.54184 Å).
Kinematic intensities with the Lorentz-polarization factor, no thermal factor.

Cell and atoms:
```
Ta4FeTc3
1.0
3.1789 0.0000 0.0000
0.0000 4.4659 0.0000
0.0000 0.0000 8.9029
Ta Fe Tc
4 1 3
Direct
0.0000 0.0000 0.0000
0.0000 0.0000 0.5000
0.0000 0.5000 0.2449
0.0000 0.5000 0.7551
0.5000 0.5000 0.0000
0.5000 0.0000 0.2461
0.5000 0.0000 0.7539
0.5000 0.5000 0.5000
```

Largest 8 diffraction maxima, by angle, 2θ from 10° to 90°:
d [Å]	I_rel	h k l
3.153	13	0 1 2
2.239	100	1 1 2
2.233	25	0 2 0
2.226	24	0 0 4
1.576	17	0 2 4
1.294	17	2 2 0
1.290	17	1 3 2
1.287	17	1 1 6

---

Record 3
For TaFeTcW, a DFT-relaxed cell (PBE, Alexandria) gives the theoretical X-ray diffraction stick pattern in this record (Cu Kα, 1.54184 Å).
Kinematic intensities with the Lorentz-polarization factor, no thermal factor.

Cell and atoms:
```
TaFeTcW
1.0
6.2240 0.0000 0.0000
0.0000 6.2240 0.0000
0.0000 0.0000 6.2240
Ta Fe Tc W
4 4 4 4
Direct
0.0000 0.0000 0.0000
0.0000 0.5000 0.5000
0.5000 0.0000 0.5000
0.5000 0.5000 0.0000
0.2500 0.2500 0.7500
0.2500 0.7500 0.2500
0.7500 0.2500 0.2500
0.7500 0.7500 0.7500
0.2500 0.2500 0.2500
0.2500 0.7500 0.7500
0.7500 0.2500 0.7500
0.7500 0.7500 0.2500
0.0000 0.0000 0.5000
0.0000 0.5000 0.0000
0.5000 0.0000 0.0000
0.5000 0.5000 0.5000
```

Largest 8 diffraction maxima, by angle, 2θ from 10° to 90°:
d [Å]	I_rel	h k l
3.593	2	1 1 1
3.112	19	2 0 0
2.201	100	2 2 0
1.797	6	2 2 2
1.556	17	4 0 0
1.392	8	4 2 0
1.270	34	4 2 2
1.100	11	4 4 0